# 1
Diffraction record for Pa2V4O9. The XRD peak list is computed, not measured: it uses a GGA+U-relaxed structure and Cu Kα (weighted mean of Kα1 and Kα2).
Peak positions follow from Bragg's law for the DFT cell and can differ from measured ones.

Top 12 peaks for 2θ = 15–90°, low angle first:
18.8 deg, rel. 88.6; 22.2 deg, rel. 19.7; 23.4 deg, rel. 16.6; 30.2 deg, rel. 100.0; 32.8 deg, rel. 65.8; 38.1 deg, rel. 16.7; 40.7 deg, rel. 25.1; 45.2 deg, rel. 38.6; 49.1 deg, rel. 30.7; 51.2 deg, rel. 14.6; 57.0 deg, rel. 37.2; 58.6 deg, rel. 20.9

Structure:
```
Pa2V4O9
1.0
5.4540 0.0000 0.0000
-2.7270 4.7233 0.0000
0.0000 0.0000 15.2169
Pa V O
4 8 18
direct
0.0000 0.0000 0.1412
0.0000 0.0000 0.3588
0.0000 0.0000 0.6412
0.0000 0.0000 0.8588
0.3333 0.6667 0.1807
0.3333 0.6667 0.4865
0.3333 0.6667 0.6807
0.3333 0.6667 0.9865
0.6667 0.3333 0.0135
0.6667 0.3333 0.3193
0.6667 0.3333 0.5135
0.6667 0.3333 0.8193
0.0000 0.2959 0.2500
0.0000 0.7041 0.7500
0.0312 0.3726 0.5829
0.0312 0.6587 0.0829
0.2959 0.0000 0.2500
0.2959 0.2959 0.7500
0.3413 0.3726 0.0829
0.3413 0.9688 0.5829
0.3726 0.0312 0.9171
0.3726 0.3413 0.4171
0.6274 0.6587 0.5829
0.6274 0.9688 0.0829
0.6587 0.0312 0.4171
0.6587 0.6274 0.9171
0.7041 0.0000 0.7500
0.7041 0.7041 0.2500
0.9688 0.3413 0.9171
0.9688 0.6274 0.4171
```



# 2
Diffraction record for PaV2O5. The XRD peak list is computed, not measured: it uses a GGA+U-relaxed structure and Cu Kα (weighted mean of Kα1 and Kα2).
Peak positions follow from Bragg's law for the DFT cell and can differ from measured ones.

Top 12 peaks for 2θ = 15–90°, low angle first:
18.9 deg, rel. 71.2; 22.7 deg, rel. 94.2; 26.9 deg, rel. 30.0; 27.9 deg, rel. 61.6; 31.4 deg, rel. 60.7; 32.3 deg, rel. 63.8; 34.0 deg, rel. 100.0; 34.7 deg, rel. 25.7; 36.1 deg, rel. 41.3; 46.9 deg, rel. 60.1; 48.8 deg, rel. 25.4; 53.9 deg, rel. 41.9

Structure:
```
PaV2O5
1.0
3.4362 0.0000 0.0000
0.0000 12.3435 0.0000
0.0000 0.0000 5.0735
Pa V O
2 4 10
direct
0.2500 0.2500 0.1277
0.7500 0.7500 0.8723
0.2500 0.5935 0.4073
0.2500 0.9065 0.4073
0.7500 0.0935 0.5927
0.7500 0.4065 0.5927
0.2500 0.0786 0.4013
0.2500 0.4214 0.4013
0.2500 0.6460 0.0386
0.2500 0.7500 0.5659
0.2500 0.8540 0.0386
0.7500 0.1460 0.9614
0.7500 0.2500 0.4341
0.7500 0.3540 0.9614
0.7500 0.5786 0.5987
0.7500 0.9214 0.5987
```



# 3
Diffraction record for Pa2VO6. The XRD peak list is computed, not measured: it uses a GGA+U-relaxed structure and Cu Kα (weighted mean of Kα1 and Kα2).
Peak positions follow from Bragg's law for the DFT cell and can differ from measured ones.

Top 12 peaks for 2θ = 15–90°, low angle first:
19.2 deg, rel. 92.9; 23.0 deg, rel. 100.0; 30.1 deg, rel. 89.1; 31.8 deg, rel. 28.7; 33.0 deg, rel. 41.2; 33.5 deg, rel. 30.3; 33.6 deg, rel. 21.1; 37.4 deg, rel. 29.6; 46.9 deg, rel. 25.1; 47.0 deg, rel. 27.8; 47.9 deg, rel. 44.3; 62.4 deg, rel. 19.5

Structure:
```
Pa2VO6
1.0
5.3294 0.0000 0.0000
0.0000 5.6291 0.0000
0.0000 0.0000 9.2791
Pa V O
4 2 12
direct
0.0000 0.0000 0.1908
0.0000 0.0000 0.8092
0.5000 0.5000 0.3092
0.5000 0.5000 0.6908
0.0000 0.5000 0.0000
0.5000 0.0000 0.5000
0.1783 0.1609 0.0000
0.2201 0.6656 0.1703
0.2201 0.6656 0.8297
0.2799 0.1656 0.3297
0.2799 0.1656 0.6703
0.3217 0.6609 0.5000
0.6783 0.3391 0.5000
0.7201 0.8344 0.3297
0.7201 0.8344 0.6703
0.7799 0.3344 0.1703
0.7799 0.3344 0.8297
0.8217 0.8391 0.0000
```



# 4
Diffraction record for Pa2VO7. The XRD peak list is computed, not measured: it uses a GGA+U-relaxed structure and Cu Kα (weighted mean of Kα1 and Kα2).
Peak positions follow from Bragg's law for the DFT cell and can differ from measured ones.

Top 12 peaks for 2θ = 15–90°, low angle first:
18.2 deg, rel. 100.0; 26.3 deg, rel. 45.8; 26.7 deg, rel. 29.0; 26.8 deg, rel. 77.9; 27.4 deg, rel. 95.2; 30.0 deg, rel. 25.9; 30.9 deg, rel. 44.1; 34.2 deg, rel. 73.6; 36.6 deg, rel. 34.4; 46.3 deg, rel. 48.0; 47.4 deg, rel. 26.0; 51.8 deg, rel. 34.6

Structure:
```
Pa2VO7
1.0
3.8336 0.0000 0.0000
-1.9133 3.4213 0.0000
-0.0105 -2.1181 9.7435
Pa V O
2 1 7
direct
0.0000 0.0000 0.0000
0.1500 0.3010 0.4319
0.5148 0.0315 0.7150
0.0738 0.1480 0.2194
0.2378 0.4752 0.6631
0.3456 0.6913 0.0406
0.5110 0.0228 0.5233
0.6334 0.2673 0.9130
0.8025 0.6060 0.3952
0.9462 0.8927 0.7719
```



# 5
Diffraction record for PaVZn2O6. The XRD peak list is computed, not measured: it uses a GGA+U-relaxed structure and Cu Kα (weighted mean of Kα1 and Kα2).
Peak positions follow from Bragg's law for the DFT cell and can differ from measured ones.

Top 12 peaks for 2θ = 15–90°, low angle first:
20.1 deg, rel. 97.3; 22.5 deg, rel. 44.1; 30.4 deg, rel. 100.0; 33.6 deg, rel. 87.5; 35.3 deg, rel. 57.8; 39.4 deg, rel. 18.4; 45.9 deg, rel. 37.8; 49.5 deg, rel. 60.9; 58.1 deg, rel. 33.8; 60.1 deg, rel. 28.5; 61.1 deg, rel. 22.6; 81.5 deg, rel. 18.2

Structure:
```
PaVZn2O6
1.0
2.6682 1.5405 5.0834
-2.6682 1.5405 5.0834
0.0000 -3.0809 5.0834
Pa V Zn O
1 1 2 6
direct
0.0000 0.0000 0.0000
0.5000 0.5000 0.5000
0.2113 0.2113 0.2113
0.7887 0.7887 0.7887
0.1182 0.7602 0.3959
0.2398 0.6041 0.8818
0.3959 0.1182 0.7602
0.6041 0.8818 0.2398
0.7602 0.3959 0.1182
0.8818 0.2398 0.6041
```



# 6
Diffraction record for Pa2WO11. The XRD peak list is computed, not measured: it uses a GGA+U-relaxed structure and Cu Kα (weighted mean of Kα1 and Kα2).
Peak positions follow from Bragg's law for the DFT cell and can differ from measured ones.

Top 12 peaks for 2θ = 15–90°, low angle first:
15.4 deg, rel. 46.5; 21.3 deg, rel. 30.9; 23.3 deg, rel. 53.0; 25.4 deg, rel. 100.0; 25.5 deg, rel. 36.2; 27.7 deg, rel. 36.9; 28.9 deg, rel. 56.5; 31.5 deg, rel. 44.9; 33.7 deg, rel. 41.2; 47.7 deg, rel. 27.2; 50.3 deg, rel. 22.6; 50.4 deg, rel. 25.6

Structure:
```
Pa2WO11
1.0
7.7118 0.0000 0.0000
-0.8671 7.6676 0.0000
-2.8120 -3.1586 7.0138
Pa W O
4 2 22
direct
0.0000 0.0000 0.0000
0.0744 0.9262 0.5000
0.6273 0.6471 0.0082
0.7204 0.5542 0.5081
0.1899 0.4413 0.4960
0.5153 0.1167 0.9956
0.0633 0.2682 0.2293
0.1233 0.6516 0.4248
0.1616 0.6885 0.0052
0.1862 0.1994 0.5264
0.2638 0.7357 0.1850
0.2729 0.1122 0.0256
0.2952 0.9179 0.2949
0.3427 0.9892 0.7288
0.3591 0.5678 0.7599
0.4263 0.4912 0.4582
0.5312 0.9026 0.0664
0.5646 0.3528 0.9576
0.6410 0.2863 0.2594
0.7175 0.6852 0.3098
0.7260 0.0508 0.9249
0.7586 0.6453 0.8101
0.7627 0.0876 0.5056
0.8100 0.1903 0.6854
0.9277 0.8668 0.1869
0.9406 0.8541 0.6867
0.9754 0.4569 0.5665
0.9920 0.2219 0.7951
```



What did the third record say?
Diffraction record for Pa2VO6. The XRD peak list is computed, not measured: it uses a GGA+U-relaxed structure and Cu Kα (weighted mean of Kα1 and Kα2).
Peak positions follow from Bragg's law for the DFT cell and can differ from measured ones.

Top 12 peaks for 2θ = 15–90°, low angle first:
19.2 deg, rel. 92.9; 23.0 deg, rel. 100.0; 30.1 deg, rel. 89.1; 31.8 deg, rel. 28.7; 33.0 deg, rel. 41.2; 33.5 deg, rel. 30.3; 33.6 deg, rel. 21.1; 37.4 deg, rel. 29.6; 46.9 deg, rel. 25.1; 47.0 deg, rel. 27.8; 47.9 deg, rel. 44.3; 62.4 deg, rel. 19.5

Structure:
```
Pa2VO6
1.0
5.3294 0.0000 0.0000
0.0000 5.6291 0.0000
0.0000 0.0000 9.2791
Pa V O
4 2 12
direct
0.0000 0.0000 0.1908
0.0000 0.0000 0.8092
0.5000 0.5000 0.3092
0.5000 0.5000 0.6908
0.0000 0.5000 0.0000
0.5000 0.0000 0.5000
0.1783 0.1609 0.0000
0.2201 0.6656 0.1703
0.2201 0.6656 0.8297
0.2799 0.1656 0.3297
0.2799 0.1656 0.6703
0.3217 0.6609 0.5000
0.6783 0.3391 0.5000
0.7201 0.8344 0.3297
0.7201 0.8344 0.6703
0.7799 0.3344 0.1703
0.7799 0.3344 0.8297
0.8217 0.8391 0.0000
```